(1)
Diffraction record for PrYErTh. The X-ray powder pattern is calculated, not measured: it uses a crystal structure in Alexandria, relaxed with GGA-PBE and λ = 1.5418 Å (Cu Kα).
Neutral-atom scattering factors, no anomalous dispersion.

Cell and atoms:
```
PrYErTh
1.0
1.803 1.041 11.615
-1.803 1.041 11.615
0.000 -2.082 11.615
Pr Y Er Th
1 1 1 1
direct
0.000 0.000 0.000
0.421 0.421 0.421
0.248 0.248 0.248
0.836 0.836 0.836
```

Top 12 peaks for 2θ = 5–70°, in order of rising 2θ:
11.615 Å, 7.61 deg, I = 42
3.111 Å, 28.70 deg, I = 14
3.074 Å, 29.05 deg, I = 34
2.904 Å, 30.79 deg, I = 47
2.850 Å, 31.39 deg, I = 100
2.646 Å, 33.88 deg, I = 76
2.325 Å, 38.72 deg, I = 22
1.803 Å, 50.62 deg, I = 37
1.714 Å, 53.47 deg, I = 23
1.581 Å, 58.35 deg, I = 14
1.532 Å, 60.43 deg, I = 42
1.524 Å, 60.78 deg, I = 15

(2)
Diffraction record for Pr3Er2Tl4. The X-ray powder pattern is calculated, not measured: it uses a crystal structure in Alexandria, relaxed with GGA-PBE and λ = 1.5418 Å (Cu Kα).
Neutral-atom scattering factors, no anomalous dispersion.

Cell and atoms:
```
Pr3Er2Tl4
1.0
5.410 0.000 0.000
-2.705 4.685 0.000
0.000 0.000 10.539
Pr Er Tl
3 2 4
direct
0.000 0.000 0.000
0.333 0.667 0.419
0.667 0.333 0.581
0.333 0.667 0.779
0.667 0.333 0.221
0.000 0.000 0.341
0.000 0.000 0.659
0.333 0.667 0.101
0.667 0.333 0.899
```

Top 12 peaks for 2θ = 5–70°, in order of rising 2θ:
4.281 Å, 20.75 deg, I = 5
2.811 Å, 31.84 deg, I = 100
2.705 Å, 33.12 deg, I = 95
2.143 Å, 42.16 deg, I = 2
1.949 Å, 46.60 deg, I = 35
1.887 Å, 48.22 deg, I = 3
1.645 Å, 55.90 deg, I = 19
1.581 Å, 58.36 deg, I = 36
1.562 Å, 59.16 deg, I = 18
1.433 Å, 65.07 deg, I = 2
1.405 Å, 66.54 deg, I = 11
1.352 Å, 69.50 deg, I = 11

(3)
Diffraction record for Pr2Er3Tl6. The X-ray powder pattern is calculated, not measured: it uses a crystal structure in Alexandria, relaxed with GGA-PBE and λ = 1.5418 Å (Cu Kα).
Neutral-atom scattering factors, no anomalous dispersion.

Cell and atoms:
```
Pr2Er3Tl6
1.0
-2.988 2.988 11.400
2.988 -2.988 11.400
2.988 2.988 -11.400
Pr Er Tl
2 3 6
direct
0.085 0.085 0.000
0.915 0.915 0.000
0.363 0.363 0.000
0.500 0.500 0.000
0.637 0.637 0.000
0.069 0.569 0.500
0.227 0.227 0.000
0.431 0.931 0.500
0.569 0.069 0.500
0.773 0.773 0.000
0.931 0.431 0.500
```

Top 12 peaks for 2θ = 5–70°, in order of rising 2θ:
11.400 Å, 7.76 deg, I = 40
3.962 Å, 22.44 deg, I = 43
3.800 Å, 23.41 deg, I = 19
2.988 Å, 29.90 deg, I = 100
2.860 Å, 31.28 deg, I = 52
2.363 Å, 38.09 deg, I = 40
2.349 Å, 38.32 deg, I = 22
2.113 Å, 42.80 deg, I = 38
2.066 Å, 43.82 deg, I = 43
1.575 Å, 58.61 deg, I = 23
1.477 Å, 62.92 deg, I = 14
1.430 Å, 65.25 deg, I = 13

(4)
Diffraction record for PrEr8Tl6. The X-ray powder pattern is calculated, not measured: it uses a crystal structure in Alexandria, relaxed with GGA-PBE and λ = 1.5418 Å (Cu Kα).
Neutral-atom scattering factors, no anomalous dispersion.

Cell and atoms:
```
PrEr8Tl6
1.0
4.541 2.622 6.481
-4.541 2.622 6.481
0.000 -5.243 6.481
Pr Er Tl
1 8 6
direct
0.000 0.000 0.000
0.111 0.778 0.440
0.222 0.560 0.889
0.332 0.332 0.332
0.440 0.111 0.778
0.560 0.889 0.222
0.668 0.668 0.668
0.778 0.440 0.111
0.889 0.222 0.560
0.065 0.406 0.724
0.276 0.935 0.594
0.406 0.724 0.065
0.594 0.276 0.935
0.724 0.065 0.406
0.935 0.594 0.276
```

Top 12 peaks for 2θ = 5–70°, in order of rising 2θ:
6.481 Å, 13.66 deg, I = 7
4.541 Å, 19.55 deg, I = 22
3.719 Å, 23.93 deg, I = 22
3.241 Å, 27.52 deg, I = 8
2.638 Å, 33.99 deg, I = 97
2.622 Å, 34.20 deg, I = 100
2.038 Å, 44.45 deg, I = 14
1.951 Å, 46.55 deg, I = 6
1.859 Å, 48.99 deg, I = 35
1.526 Å, 60.68 deg, I = 20
1.517 Å, 61.10 deg, I = 36
1.514 Å, 61.24 deg, I = 19

(5)
Diffraction record for PrEr5Tl5. The X-ray powder pattern is calculated, not measured: it uses a crystal structure in Alexandria, relaxed with GGA-PBE and λ = 1.5418 Å (Cu Kα).
Neutral-atom scattering factors, no anomalous dispersion.

Cell and atoms:
```
PrEr5Tl5
1.0
7.891 -2.997 0.000
7.891 2.997 0.000
-1.134 0.000 7.115
Pr Er Tl
1 5 5
direct
0.000 0.000 0.000
0.000 0.000 0.500
0.322 0.322 0.091
0.369 0.369 0.598
0.631 0.631 0.402
0.678 0.678 0.909
0.173 0.173 0.306
0.177 0.177 0.742
0.500 0.500 0.000
0.823 0.823 0.258
0.827 0.827 0.694
```

Top 12 peaks for 2θ = 5–70°, in order of rising 2θ:
3.060 Å, 29.19 deg, I = 66
2.997 Å, 29.81 deg, I = 100
2.928 Å, 30.53 deg, I = 21
2.861 Å, 31.26 deg, I = 28
2.808 Å, 31.87 deg, I = 60
2.709 Å, 33.07 deg, I = 18
2.598 Å, 34.53 deg, I = 47
2.493 Å, 36.03 deg, I = 23
2.141 Å, 42.21 deg, I = 51
2.070 Å, 43.74 deg, I = 23
1.963 Å, 46.25 deg, I = 42
1.724 Å, 53.14 deg, I = 18

(6)
Diffraction record for PrEr4Tl4. The X-ray powder pattern is calculated, not measured: it uses a crystal structure in Alexandria, relaxed with GGA-PBE and λ = 1.5418 Å (Cu Kα).
Neutral-atom scattering factors, no anomalous dispersion.

Cell and atoms:
```
PrEr4Tl4
1.0
7.360 0.000 0.000
0.000 7.360 0.000
0.000 0.000 10.377
Pr Er Tl
2 8 8
direct
0.250 0.750 0.250
0.750 0.250 0.750
0.017 0.250 0.158
0.250 0.017 0.658
0.250 0.483 0.658
0.483 0.250 0.158
0.517 0.750 0.842
0.750 0.517 0.342
0.750 0.983 0.342
0.983 0.750 0.842
0.033 0.250 0.459
0.250 0.033 0.959
0.250 0.467 0.959
0.467 0.250 0.459
0.533 0.750 0.541
0.750 0.533 0.041
0.750 0.967 0.041
0.967 0.750 0.541
```

Top 12 peaks for 2θ = 5–70°, in order of rising 2θ:
6.003 Å, 14.76 deg, I = 21
3.468 Å, 25.69 deg, I = 23
3.136 Å, 28.46 deg, I = 100
2.602 Å, 34.47 deg, I = 58
2.520 Å, 35.62 deg, I = 99
2.447 Å, 36.73 deg, I = 30
2.326 Å, 38.71 deg, I = 23
2.002 Å, 45.30 deg, I = 25
1.840 Å, 49.54 deg, I = 30
1.604 Å, 57.44 deg, I = 25
1.486 Å, 62.50 deg, I = 32
1.355 Å, 69.37 deg, I = 19

(7)
Diffraction record for PrEr7Tl5. The X-ray powder pattern is calculated, not measured: it uses a crystal structure in Alexandria, relaxed with GGA-PBE and λ = 1.5418 Å (Cu Kα).
Neutral-atom scattering factors, no anomalous dispersion.

Cell and atoms:
```
PrEr7Tl5
1.0
-3.236 5.430 5.392
3.236 -5.430 5.392
3.236 5.430 -5.392
Pr Er Tl
1 7 5
direct
0.000 0.000 0.000
0.180 0.480 0.701
0.220 0.720 0.500
0.339 0.996 0.344
0.350 0.350 0.000
0.652 0.996 0.656
0.661 0.661 0.000
0.779 0.480 0.299
0.475 0.487 0.491
0.475 0.984 0.988
0.760 0.260 0.500
0.996 0.487 0.012
0.996 0.984 0.509
```

Top 12 peaks for 2θ = 5–70°, in order of rising 2θ:
5.392 Å, 16.44 deg, I = 16
3.159 Å, 28.25 deg, I = 21
2.777 Å, 32.23 deg, I = 83
2.724 Å, 32.88 deg, I = 82
2.715 Å, 32.99 deg, I = 31
2.696 Å, 33.23 deg, I = 39
2.471 Å, 36.36 deg, I = 100
2.425 Å, 37.07 deg, I = 51
2.415 Å, 37.24 deg, I = 18
1.752 Å, 52.21 deg, I = 23
1.580 Å, 58.42 deg, I = 22
1.562 Å, 59.14 deg, I = 16

(8)
Diffraction record for Pr2Er3Tl. The X-ray powder pattern is calculated, not measured: it uses a crystal structure in Alexandria, relaxed with GGA-PBE and λ = 1.5418 Å (Cu Kα).
Neutral-atom scattering factors, no anomalous dispersion.

Cell and atoms:
```
Pr2Er3Tl
1.0
-2.566 4.625 7.888
2.566 -4.625 7.888
2.566 4.625 -7.888
Pr Er Tl
4 6 2
direct
0.277 0.027 0.250
0.424 0.674 0.750
0.576 0.326 0.250
0.723 0.973 0.750
0.000 0.500 0.500
0.127 0.171 0.956
0.285 0.829 0.456
0.500 0.500 0.000
0.715 0.171 0.544
0.873 0.829 0.044
0.106 0.356 0.750
0.894 0.644 0.250
```

Top 12 peaks for 2θ = 5–70°, in order of rising 2θ:
2.963 Å, 30.17 deg, I = 6
2.876 Å, 31.09 deg, I = 100
2.629 Å, 34.10 deg, I = 17
2.566 Å, 34.96 deg, I = 22
2.506 Å, 35.83 deg, I = 9
2.313 Å, 38.95 deg, I = 11
1.837 Å, 49.64 deg, I = 14
1.736 Å, 52.71 deg, I = 6
1.718 Å, 53.33 deg, I = 9
1.561 Å, 59.17 deg, I = 8
1.535 Å, 60.31 deg, I = 15
1.438 Å, 64.83 deg, I = 7

(9)
Diffraction record for PrEr4Tm3. The X-ray powder pattern is calculated, not measured: it uses a crystal structure in Alexandria, relaxed with GGA-PBE and λ = 1.5418 Å (Cu Kα).
Neutral-atom scattering factors, no anomalous dispersion.

Cell and atoms:
```
PrEr4Tm3
1.0
3.533 0.000 0.000
0.000 9.949 0.000
-0.007 0.000 7.036
Pr Er Tm
1 4 3
direct
0.000 0.000 0.000
0.500 0.253 0.253
0.500 0.253 0.747
0.500 0.747 0.253
0.500 0.747 0.747
0.000 0.000 0.500
0.000 0.500 0.000
0.000 0.500 0.500
```

Top 9 peaks for 2θ = 5–70°, in order of rising 2θ:
2.876 Å, 31.09 deg, I = 100
2.493 Å, 36.03 deg, I = 34
2.487 Å, 36.11 deg, I = 17
1.767 Å, 51.75 deg, I = 6
1.760 Å, 51.94 deg, I = 30
1.505 Å, 61.64 deg, I = 14
1.501 Å, 61.81 deg, I = 28
1.440 Å, 64.72 deg, I = 6
1.436 Å, 64.93 deg, I = 6

(10)
Diffraction record for PrEr8Tm3. The X-ray powder pattern is calculated, not measured: it uses a crystal structure in Alexandria, relaxed with GGA-PBE and λ = 1.5418 Å (Cu Kα).
Neutral-atom scattering factors, no anomalous dispersion.

Cell and atoms:
```
PrEr8Tm3
1.0
-3.175 5.600 5.633
3.175 -5.600 5.633
3.175 5.600 -5.633
Pr Er Tm
1 8 3
direct
0.000 0.000 0.000
0.082 0.251 0.831
0.260 0.245 0.505
0.260 0.755 0.014
0.420 0.251 0.169
0.580 0.749 0.831
0.740 0.245 0.986
0.740 0.755 0.495
0.918 0.749 0.169
0.261 0.761 0.500
0.500 0.500 0.000
0.739 0.239 0.500
```

Top 12 peaks for 2θ = 5–70°, in order of rising 2θ:
3.944 Å, 22.54 deg, I = 13
3.218 Å, 27.72 deg, I = 17
2.817 Å, 31.77 deg, I = 50
2.795 Å, 32.02 deg, I = 100
2.764 Å, 32.39 deg, I = 67
2.508 Å, 35.81 deg, I = 19
2.480 Å, 36.23 deg, I = 35
1.972 Å, 46.03 deg, I = 17
1.750 Å, 52.27 deg, I = 22
1.622 Å, 56.76 deg, I = 17
1.609 Å, 57.25 deg, I = 18
1.397 Å, 66.98 deg, I = 22

(11)
Diffraction record for Pr3ErTm6. The X-ray powder pattern is calculated, not measured: it uses a crystal structure in Alexandria, relaxed with GGA-PBE and λ = 1.5418 Å (Cu Kα).
Neutral-atom scattering factors, no anomalous dispersion.

Cell and atoms:
```
Pr3ErTm6
1.0
12.999 0.000 0.000
0.000 3.510 0.000
-2.505 0.000 14.044
Pr Er Tm
6 2 12
direct
0.074 0.250 0.103
0.371 0.750 0.495
0.420 0.250 0.901
0.580 0.750 0.099
0.629 0.250 0.505
0.926 0.750 0.897
0.041 0.250 0.719
0.959 0.750 0.281
0.117 0.250 0.484
0.192 0.750 0.924
0.220 0.750 0.287
0.267 0.750 0.700
0.345 0.250 0.123
0.500 0.250 0.691
0.500 0.750 0.309
0.655 0.750 0.877
0.733 0.250 0.300
0.780 0.250 0.713
0.808 0.250 0.076
0.883 0.750 0.516
```

Top 12 peaks for 2θ = 5–70°, in order of rising 2θ:
3.140 Å, 28.43 deg, I = 13
2.954 Å, 30.25 deg, I = 52
2.888 Å, 30.96 deg, I = 70
2.808 Å, 31.87 deg, I = 100
2.736 Å, 32.74 deg, I = 50
2.710 Å, 33.05 deg, I = 35
2.418 Å, 37.19 deg, I = 31
1.850 Å, 49.26 deg, I = 20
1.755 Å, 52.11 deg, I = 17
1.500 Å, 61.86 deg, I = 19
1.488 Å, 62.39 deg, I = 16
1.477 Å, 62.92 deg, I = 15

(12)
Diffraction record for Pr3Er6Tm. The X-ray powder pattern is calculated, not measured: it uses a crystal structure in Alexandria, relaxed with GGA-PBE and λ = 1.5418 Å (Cu Kα).
Neutral-atom scattering factors, no anomalous dispersion.

Cell and atoms:
```
Pr3Er6Tm
1.0
5.493 -9.434 0.000
5.493 9.434 0.000
0.000 0.000 6.307
Pr Er Tm
6 12 2
direct
0.111 0.889 0.500
0.213 0.438 0.103
0.438 0.213 0.603
0.562 0.787 0.103
0.787 0.562 0.603
0.889 0.111 0.000
0.032 0.453 0.696
0.119 0.213 0.522
0.213 0.119 0.022
0.227 0.773 0.922
0.453 0.032 0.196
0.459 0.541 0.683
0.541 0.459 0.183
0.547 0.968 0.696
0.773 0.227 0.422
0.787 0.881 0.522
0.881 0.787 0.022
0.968 0.547 0.196
0.302 0.698 0.434
0.698 0.302 0.934
```

Top 12 peaks for 2θ = 5–70°, in order of rising 2θ:
3.165 Å, 28.20 deg, I = 19
3.151 Å, 28.32 deg, I = 21
3.123 Å, 28.58 deg, I = 33
3.111 Å, 28.70 deg, I = 74
2.992 Å, 29.86 deg, I = 31
2.828 Å, 31.63 deg, I = 66
2.814 Å, 31.80 deg, I = 100
2.734 Å, 32.76 deg, I = 29
2.627 Å, 34.14 deg, I = 90
2.051 Å, 44.17 deg, I = 21
1.819 Å, 50.15 deg, I = 20
1.812 Å, 50.35 deg, I = 23

> What is the formula in the fifth record?

PrEr5Tl5